# 1
For Li2Pb3Cl2O4, a cell relaxed with PBE gives the theoretical powder diffraction line list in this record (Cu Kα (λ = 1.5418 Å)).
No peak broadening, texture or thermal motion is included.

Atomic structure:
```
Li2Pb3Cl2O4
1.0
-1.980 1.980 11.375
1.980 -1.980 11.375
1.980 1.980 -11.375
Li Pb Cl O
2 3 2 4
direct
0.071 0.071 0.000 Li
0.929 0.929 0.000 Li
0.359 0.359 0.000 Pb
0.500 0.500 0.000 Pb
0.641 0.641 0.000 Pb
0.193 0.193 0.000 Cl
0.807 0.807 0.000 Cl
0.063 0.563 0.500 O
0.437 0.937 0.500 O
0.563 0.063 0.500 O
0.937 0.437 0.500 O
```

Top 10 peaks for 2θ = 10–90°, by angle:
2θ/deg, d_spacing, I (rel.)
22.80, 3.901, 100.0
23.46, 3.792, 21.7
31.97, 2.800, 47.2
35.74, 2.512, 83.6
40.03, 2.252, 33.6
45.46, 1.995, 21.5
45.83, 1.980, 25.4
51.79, 1.765, 23.9
56.65, 1.625, 11.7
59.44, 1.555, 36.7



# 2
For ZnGa3As4, a cell relaxed with PBE gives the theoretical powder diffraction line list in this record (Cu Kα (λ = 1.5418 Å)).
No peak broadening, texture or thermal motion is included.

Atomic structure:
```
ZnGa3As4
1.0
5.714 0.000 0.000
0.000 5.714 0.000
0.000 0.000 11.519
Zn Ga As
2 6 8
direct
0.000 0.000 0.000 Zn
0.500 0.500 0.500 Zn
0.000 0.000 0.500 Ga
0.000 0.500 0.250 Ga
0.000 0.500 0.750 Ga
0.500 0.000 0.250 Ga
0.500 0.000 0.750 Ga
0.500 0.500 0.000 Ga
0.249 0.249 0.124 As
0.249 0.751 0.876 As
0.251 0.251 0.624 As
0.251 0.749 0.376 As
0.749 0.251 0.376 As
0.749 0.749 0.624 As
0.751 0.249 0.876 As
0.751 0.751 0.124 As
```

Top 10 peaks for 2θ = 10–90°, by angle:
2θ/deg, d_spacing, I (rel.)
26.95, 3.308, 100.0
44.68, 2.028, 49.9
44.86, 2.020, 24.7
52.79, 1.734, 15.1
53.12, 1.724, 29.6
65.32, 1.429, 7.8
71.73, 1.316, 11.8
82.21, 1.173, 8.1
82.61, 1.168, 16.0
88.98, 1.100, 6.8